Starting from a GGA-PBE-relaxed structure, the powder X-ray diffraction pattern of ZnCd4Ga10S20 was simulated for CuKα.
Lines closer than 0.1° are merged.

Top 10 peaks for 5° ≤ 2θ ≤ 70°, in order of rising 2θ:
- 17.0°, I 8
- 18.1°, I 22
- 22.6°, I 13
- 28.5°, I 100
- 36.7°, I 9
- 37.2°, I 9
- 46.2°, I 22
- 47.9°, I 39
- 55.1°, I 29
- 58.2°, I 12

Crystal structure
```
data_ZnCd4Ga10S20
_chemical_formula_sum 'Zn1 Cd4 Ga10 S20'
_cell_length_a 5.5603
_cell_length_b 6.5198
_cell_length_c 24.5536
_cell_angle_alpha 87.23
_cell_angle_beta 90.00
_cell_angle_gamma 64.76
_symmetry_space_group_name_H-M 'P 1'
_symmetry_Int_Tables_number 1
loop_
_symmetry_equiv_pos_as_xyz
'x,y,z'
loop_
_atom_site_label
_atom_site_type_symbol
_atom_site_fract_x
_atom_site_fract_y
_atom_site_fract_z
Zn1 Zn 0.0000 0.0000 0.0000
Cd1 Cd 0.2002 0.6004 0.8002
Cd2 Cd 0.4003 0.2000 0.6000
Cd3 Cd 0.6003 0.8001 0.4000
Cd4 Cd 0.8006 0.3998 0.1999
Ga1 Ga 0.0003 0.0001 0.5000
Ga2 Ga 0.1003 0.8001 0.6500
Ga3 Ga 0.2002 0.6000 0.3000
Ga4 Ga 0.3003 0.4001 0.4500
Ga5 Ga 0.4003 0.1979 0.0987
Ga6 Ga 0.5002 0.0001 0.2500
Ga7 Ga 0.6004 0.8025 0.9013
Ga8 Ga 0.6997 0.6009 0.0491
Ga9 Ga 0.8003 0.4000 0.7001
Ga10 Ga 0.9011 0.1991 0.8509
S1 S 0.0146 0.5120 0.1188
S2 S 0.0964 0.2729 0.7739
S3 S 0.1231 0.2892 0.2813
S4 S 0.1677 0.1258 0.4262
S5 S 0.2027 0.1037 0.9231
S6 S 0.2959 0.8735 0.5734
S7 S 0.3094 0.8939 0.0765
S8 S 0.3678 0.7258 0.2261
S9 S 0.4141 0.7118 0.7192
S10 S 0.4959 0.4735 0.3734
S11 S 0.5238 0.4905 0.8816
S12 S 0.5933 0.3089 0.0254
S13 S 0.6142 0.3117 0.5192
S14 S 0.6942 0.0728 0.1730
S15 S 0.7233 0.0893 0.6813
S16 S 0.7649 0.9268 0.8264
S17 S 0.8143 0.9117 0.3192
S18 S 0.8989 0.6925 0.9749
S19 S 0.9233 0.6893 0.4813
S20 S 0.9677 0.5256 0.6263
```

=====

Starting from a GGA-PBE-relaxed structure, the powder X-ray diffraction pattern of KCe2CuSe6 was simulated for CuKα.
Lines closer than 0.1° are merged.

Top 10 peaks for 5° ≤ 2θ ≤ 70°, in order of rising 2θ:
- 8.0°, I 100
- 29.5°, I 72
- 31.1°, I 26
- 32.0°, I 24
- 36.1°, I 40
- 38.2°, I 28
- 39.5°, I 19
- 39.9°, I 19
- 42.2°, I 22
- 43.8°, I 24

Crystal structure
```
data_KCe2CuSe6
_chemical_formula_sum 'K16 Ce32 Cu16 Se96'
_cell_length_a 8.2646
_cell_length_b 11.5708
_cell_length_c 44.4523
_cell_angle_alpha 90.00
_cell_angle_beta 90.00
_cell_angle_gamma 90.00
_symmetry_space_group_name_H-M 'F d d d'
_symmetry_Int_Tables_number 70
loop_
_symmetry_equiv_pos_as_xyz
'x,y,z'
'-x,-y,-z'
'-x+1/4,-y+1/4,z'
'x+1/4,y+1/4,-z'
'x,-y+1/4,-z+1/4'
'-x,y+1/4,z+1/4'
'-x+1/4,y,-z+1/4'
'x+1/4,-y,z+1/4'
'x,y+1/2,z+1/2'
'-x,-y+1/2,-z+1/2'
'-x+1/4,-y+3/4,z+1/2'
'x+1/4,y+3/4,-z+1/2'
'x,-y+3/4,-z+3/4'
'-x,y+3/4,z+3/4'
'-x+1/4,y+1/2,-z+3/4'
'x+1/4,-y+1/2,z+3/4'
'x+1/2,y,z+1/2'
'-x+1/2,-y,-z+1/2'
'-x+3/4,-y+1/4,z+1/2'
'x+3/4,y+1/4,-z+1/2'
'x+1/2,-y+1/4,-z+3/4'
'-x+1/2,y+1/4,z+3/4'
'-x+3/4,y,-z+3/4'
'x+3/4,-y,z+3/4'
'x+1/2,y+1/2,z'
'-x+1/2,-y+1/2,-z'
'-x+3/4,-y+3/4,z'
'x+3/4,y+3/4,-z'
'x+1/2,-y+3/4,-z+1/4'
'-x+1/2,y+3/4,z+1/4'
'-x+3/4,y+1/2,-z+1/4'
'x+3/4,-y+1/2,z+1/4'
loop_
_atom_site_label
_atom_site_type_symbol
_atom_site_fract_x
_atom_site_fract_y
_atom_site_fract_z
K1 K 0.1226 0.3750 0.3750
Ce1 Ce 0.1250 0.1250 0.2871
Ce2 Ce 0.1250 0.1250 0.4626
Cu1 Cu 0.1250 0.1250 0.5384
Se1 Se 0.1239 0.2720 0.5760
Se2 Se 0.1236 0.3733 0.9893
Se3 Se 0.1246 0.0140 0.0706
```

=====

Starting from a GGA-PBE-relaxed structure, the powder X-ray diffraction pattern of NbCr3Ag2S8 was simulated for CuKα.
Lines closer than 0.1° are merged.

Top 10 peaks for 5° ≤ 2θ ≤ 70°, in order of rising 2θ:
- 26.6°, I 100
- 27.8°, I 26
- 30.2°, I 29
- 33.0°, I 25
- 33.3°, I 41
- 35.2°, I 76
- 37.5°, I 79
- 46.1°, I 46
- 51.4°, I 28
- 52.8°, I 39

Crystal structure
```
data_NbCr3Ag2S8
_chemical_formula_sum 'Nb2 Cr6 Ag4 S16'
_cell_length_a 3.4696
_cell_length_b 12.2035
_cell_length_c 11.8507
_cell_angle_alpha 90.00
_cell_angle_beta 90.00
_cell_angle_gamma 90.00
_symmetry_space_group_name_H-M 'P m c 21'
_symmetry_Int_Tables_number 26
loop_
_symmetry_equiv_pos_as_xyz
'x,y,z'
'-x,-y,z+1/2'
'-x,y,z'
'x,-y,z+1/2'
loop_
_atom_site_label
_atom_site_type_symbol
_atom_site_fract_x
_atom_site_fract_y
_atom_site_fract_z
Nb1 Nb 0.0000 0.0310 0.0000
Cr1 Cr 0.0000 0.3365 0.5460
Cr2 Cr 0.5000 0.1830 0.7553
Cr3 Cr 0.5000 0.4563 0.3042
Ag1 Ag 0.0000 0.1711 0.2878
Ag2 Ag 0.5000 0.3453 0.0189
S1 S 0.0000 0.1359 0.6169
S2 S 0.0000 0.2160 0.8848
S3 S 0.0000 0.3728 0.2010
S4 S 0.0000 0.4989 0.9397
S5 S 0.5000 0.0004 0.3509
S6 S 0.5000 0.1327 0.1022
S7 S 0.5000 0.2917 0.4181
S8 S 0.5000 0.3699 0.6845
```